NbCrCo: theoretical X-ray diffraction stick pattern (a wavelength of 1.5418 Å), based on a cell relaxed with GGA-PBE.
Kinematic intensities with the Lorentz-polarization factor, no thermal factor.

Unit cell a=5.8407 b=5.8407 c=5.8407 alpha=90.00 beta=90.00 gamma=90.00
Atoms (fractional coordinates):
Nb (0.0000, 0.0000, 0.0000)
Nb (0.0000, 0.5000, 0.5000)
Nb (0.5000, 0.0000, 0.5000)
Nb (0.5000, 0.5000, 0.0000)
Cr (0.2500, 0.2500, 0.7500)
Cr (0.2500, 0.7500, 0.2500)
Cr (0.7500, 0.2500, 0.2500)
Cr (0.7500, 0.7500, 0.7500)
Co (0.2500, 0.2500, 0.2500)
Co (0.2500, 0.7500, 0.7500)
Co (0.7500, 0.2500, 0.7500)
Co (0.7500, 0.7500, 0.2500)

The 8 most intense peaks (10° ≤ 2θ ≤ 90°), low angle first:
2θ = 26.43°, intensity 56.2; 2θ = 30.61°, intensity 1.4; 2θ = 43.84°, intensity 100.0; 2θ = 51.92°, intensity 25.1; 2θ = 63.74°, intensity 15.2; 2θ = 70.25°, intensity 9.9; 2θ = 80.58°, intensity 29.9; 2θ = 86.61°, intensity 7.5

Cr8Co3NiS16: theoretical X-ray diffraction stick pattern (a wavelength of 1.5418 Å), based on a cell relaxed with GGA-PBE.
Kinematic intensities with the Lorentz-polarization factor, no thermal factor.

Unit cell a=6.8989 b=6.8989 c=9.7443 alpha=90.00 beta=90.00 gamma=90.00
Atoms (fractional coordinates):
Cr (0.0000, 0.2487, 0.3746)
Cr (0.0000, 0.7513, 0.3746)
Cr (0.2487, 0.0000, 0.6254)
Cr (0.2489, 0.5000, 0.1246)
Cr (0.5000, 0.2489, 0.8754)
Cr (0.5000, 0.7511, 0.8754)
Cr (0.7513, 0.0000, 0.6254)
Cr (0.7511, 0.5000, 0.1246)
Co (0.0000, 0.5000, 0.7497)
Co (0.5000, 0.0000, 0.2503)
Co (0.5000, 0.5000, 0.5000)
Ni (0.0000, 0.0000, 0.0000)
S (0.0000, 0.2410, 0.6212)
S (0.0000, 0.2610, 0.1305)
S (0.0000, 0.7390, 0.1305)
S (0.0000, 0.7590, 0.6212)
S (0.2396, 0.5000, 0.3700)
S (0.2410, 0.0000, 0.3788)
S (0.2584, 0.5000, 0.8795)
S (0.2610, 0.0000, 0.8695)
S (0.5000, 0.2396, 0.6300)
S (0.5000, 0.2584, 0.1205)
S (0.5000, 0.7416, 0.1205)
S (0.5000, 0.7604, 0.6300)
S (0.7390, 0.0000, 0.8695)
S (0.7416, 0.5000, 0.8795)
S (0.7590, 0.0000, 0.3788)
S (0.7604, 0.5000, 0.3700)

The 8 most intense peaks (10° ≤ 2θ ≤ 90°), low angle first:
2θ = 25.84°, intensity 33.0; 2θ = 30.40°, intensity 100.0; 2θ = 36.87°, intensity 47.5; 2θ = 45.57°, intensity 13.0; 2θ = 48.50°, intensity 39.4; 2θ = 53.12°, intensity 87.7; 2θ = 62.44°, intensity 10.8; 2θ = 74.77°, intensity 16.5

Cr8Co3NiS16: theoretical X-ray diffraction stick pattern (a wavelength of 1.5418 Å), based on a cell relaxed with GGA-PBE.
Kinematic intensities with the Lorentz-polarization factor, no thermal factor.

Unit cell a=11.8791 b=11.8791 c=11.8791 alpha=33.90 beta=33.90 gamma=33.90
Atoms (fractional coordinates):
Cr (0.0000, 0.0000, 0.0000)
Cr (0.2474, 0.2474, 0.7502)
Cr (0.2474, 0.7502, 0.2474)
Cr (0.2496, 0.7484, 0.7484)
Cr (0.4994, 0.4994, 0.4994)
Cr (0.7484, 0.2496, 0.7484)
Cr (0.7484, 0.7484, 0.2496)
Cr (0.7502, 0.2474, 0.2474)
Co (0.1866, 0.1866, 0.1866)
Co (0.3109, 0.3109, 0.3109)
Co (0.8107, 0.8107, 0.8107)
Ni (0.6865, 0.6865, 0.6865)
S (0.1167, 0.1167, 0.6354)
S (0.1167, 0.6354, 0.1167)
S (0.1205, 0.1205, 0.1205)
S (0.1385, 0.6149, 0.6149)
S (0.3621, 0.8813, 0.8813)
S (0.3766, 0.3766, 0.3766)
S (0.3822, 0.3822, 0.8611)
S (0.3822, 0.8611, 0.3822)
S (0.6149, 0.1385, 0.6149)
S (0.6149, 0.6149, 0.1385)
S (0.6207, 0.6207, 0.6207)
S (0.6354, 0.1167, 0.1167)
S (0.8611, 0.3822, 0.3822)
S (0.8767, 0.8767, 0.8767)
S (0.8813, 0.3621, 0.8813)
S (0.8813, 0.8813, 0.3621)

The 8 most intense peaks (10° ≤ 2θ ≤ 90°), low angle first:
2θ = 25.73°, intensity 22.5; 2θ = 25.92°, intensity 22.2; 2θ = 30.33°, intensity 100.0; 2θ = 30.52°, intensity 34.3; 2θ = 36.84°, intensity 64.0; 2θ = 48.46°, intensity 23.7; 2θ = 52.88°, intensity 60.0; 2θ = 53.30°, intensity 58.1

Cr4CoNiS8: theoretical X-ray diffraction stick pattern (a wavelength of 1.5418 Å), based on a cell relaxed with GGA-PBE.
Kinematic intensities with the Lorentz-polarization factor, no thermal factor.

Unit cell a=6.8940 b=6.8940 c=6.8940 alpha=60.00 beta=60.00 gamma=60.00
Atoms (fractional coordinates):
Cr (0.1246, 0.1246, 0.1246)
Cr (0.1246, 0.1246, 0.6263)
Cr (0.1246, 0.6263, 0.1246)
Cr (0.6263, 0.1246, 0.1246)
Co (0.5000, 0.5000, 0.5000)
Ni (0.7500, 0.7500, 0.7500)
S (0.3583, 0.8806, 0.8806)
S (0.3696, 0.3696, 0.3696)
S (0.3696, 0.3696, 0.8913)
S (0.3696, 0.8913, 0.3696)
S (0.8806, 0.3583, 0.8806)
S (0.8806, 0.8806, 0.3583)
S (0.8806, 0.8806, 0.8806)
S (0.8913, 0.3696, 0.3696)

The 8 most intense peaks (10° ≤ 2θ ≤ 90°), low angle first:
2θ = 25.85°, intensity 33.7; 2θ = 30.41°, intensity 100.0; 2θ = 36.88°, intensity 46.7; 2θ = 45.58°, intensity 13.2; 2θ = 48.52°, intensity 40.5; 2θ = 53.14°, intensity 87.5; 2θ = 74.80°, intensity 16.4; 2θ = 78.48°, intensity 12.7

Cr2CoP3: theoretical X-ray diffraction stick pattern (a wavelength of 1.5418 Å), based on a cell relaxed with GGA-PBE.
Kinematic intensities with the Lorentz-polarization factor, no thermal factor.

Unit cell a=5.2624 b=3.1088 c=17.6203 alpha=90.00 beta=90.01 gamma=90.00
Atoms (fractional coordinates):
Cr (0.0000, 0.0000, 0.0000)
Cr (0.0007, 0.0000, 0.3310)
Cr (0.0122, 0.5000, 0.4603)
Cr (0.0132, 0.5000, 0.7947)
Cr (0.4970, 0.0000, 0.6316)
Cr (0.4982, 0.0000, 0.9663)
Cr (0.5008, 0.0000, 0.2970)
Cr (0.9993, 0.0000, 0.6661)
Co (0.0056, 0.5000, 0.1321)
Co (0.5053, 0.5000, 0.1646)
Co (0.5096, 0.5000, 0.4985)
Co (0.5103, 0.5000, 0.8321)
P (0.1873, 0.5000, 0.9186)
P (0.1877, 0.5000, 0.5848)
P (0.1939, 0.5000, 0.2513)
P (0.3165, 0.0000, 0.0906)
P (0.3211, 0.0000, 0.7559)
P (0.3220, 0.0000, 0.4214)
P (0.6904, 0.5000, 0.3757)
P (0.6925, 0.5000, 0.7095)
P (0.6946, 0.5000, 0.0448)
P (0.8129, 0.0000, 0.5407)
P (0.8129, 0.0000, 0.8741)
P (0.8158, 0.0000, 0.2065)

The 8 most intense peaks (10° ≤ 2θ ≤ 90°), low angle first:
2θ = 32.59°, intensity 68.8; 2θ = 36.90°, intensity 36.1; 2θ = 45.87°, intensity 55.7; 2θ = 46.33°, intensity 49.2; 2θ = 47.87°, intensity 100.0; 2θ = 49.69°, intensity 29.2; 2θ = 55.46°, intensity 31.1; 2θ = 81.06°, intensity 25.4

Pr2Cr3Co14: theoretical X-ray diffraction stick pattern (a wavelength of 1.5418 Å), based on a cell relaxed with GGA-PBE.
Kinematic intensities with the Lorentz-polarization factor, no thermal factor.

Unit cell a=6.3076 b=6.3076 c=6.3076 alpha=83.49 beta=83.49 gamma=83.49
Atoms (fractional coordinates):
Pr (0.1483, 0.1483, 0.1483)
Pr (0.8517, 0.8517, 0.8517)
Cr (0.0000, 0.5000, 0.5000)
Cr (0.5000, 0.0000, 0.5000)
Cr (0.5000, 0.5000, 0.0000)
Co (0.1599, 0.1599, 0.6373)
Co (0.1599, 0.6373, 0.1599)
Co (0.2157, 0.5000, 0.7843)
Co (0.2157, 0.7843, 0.5000)
Co (0.3627, 0.8401, 0.8401)
Co (0.4027, 0.4027, 0.4027)
Co (0.5000, 0.2157, 0.7843)
Co (0.5000, 0.7843, 0.2157)
Co (0.5973, 0.5973, 0.5973)
Co (0.6373, 0.1599, 0.1599)
Co (0.7843, 0.2157, 0.5000)
Co (0.7843, 0.5000, 0.2157)
Co (0.8401, 0.3627, 0.8401)
Co (0.8401, 0.8401, 0.3627)

The 8 most intense peaks (10° ≤ 2θ ≤ 90°), low angle first:
2θ = 30.73°, intensity 32.4; 2θ = 37.08°, intensity 42.9; 2θ = 38.72°, intensity 47.0; 2θ = 43.08°, intensity 68.1; 2θ = 43.55°, intensity 100.0; 2θ = 44.53°, intensity 21.3; 2θ = 44.96°, intensity 41.1; 2θ = 48.90°, intensity 25.0

CrCoPt2: theoretical X-ray diffraction stick pattern (a wavelength of 1.5418 Å), based on a cell relaxed with GGA-PBE.
Kinematic intensities with the Lorentz-polarization factor, no thermal factor.

Unit cell a=3.8169 b=3.8169 c=3.7555 alpha=90.00 beta=90.00 gamma=90.00
Atoms (fractional coordinates):
Cr (0.0000, 0.0000, 0.0000)
Co (0.5000, 0.5000, 0.0000)
Pt (0.0000, 0.5000, 0.5000)
Pt (0.5000, 0.0000, 0.5000)

The 8 most intense peaks (10° ≤ 2θ ≤ 90°), low angle first:
2θ = 23.69°, intensity 29.3; 2θ = 33.19°, intensity 25.6; 2θ = 41.19°, intensity 100.0; 2θ = 47.65°, intensity 32.8; 2θ = 48.48°, intensity 15.6; 2θ = 53.89°, intensity 14.0; 2θ = 70.33°, intensity 20.2; 2θ = 84.27°, intensity 25.1

CrCoPt2: theoretical X-ray diffraction stick pattern (a wavelength of 1.5418 Å), based on a cell relaxed with GGA-PBE.
Kinematic intensities with the Lorentz-polarization factor, no thermal factor.

Unit cell a=2.7001 b=2.7001 c=26.1017 alpha=90.00 beta=90.00 gamma=120.00
Atoms (fractional coordinates):
Cr (0.0000, 0.0000, 0.0000)
Cr (0.3333, 0.6667, 0.6667)
Cr (0.6667, 0.3333, 0.3333)
Co (0.0000, 0.0000, 0.7397)
Co (0.3333, 0.6667, 0.4064)
Co (0.6667, 0.3333, 0.0730)
Pt (0.0000, 0.0000, 0.2521)
Pt (0.0000, 0.0000, 0.4898)
Pt (0.3333, 0.6667, 0.1565)
Pt (0.3333, 0.6667, 0.9188)
Pt (0.6667, 0.3333, 0.5855)
Pt (0.6667, 0.3333, 0.8232)

The 8 most intense peaks (10° ≤ 2θ ≤ 90°), low angle first:
2θ = 10.17°, intensity 76.1; 2θ = 30.83°, intensity 25.1; 2θ = 41.00°, intensity 100.0; 2θ = 41.52°, intensity 26.7; 2θ = 42.35°, intensity 23.9; 2θ = 47.86°, intensity 59.6; 2θ = 69.65°, intensity 21.0; 2θ = 84.46°, intensity 20.4